Starting from a structure optimized by DFT (PBE), the X-ray diffraction stick pattern of MgPBr was simulated for Cu Kα (λ = 1.5418 Å).
Neutral-atom scattering factors, no anomalous dispersion.

Structure:
```
MgPBr
1.0
3.599 0.000 0.000
1.798 3.620 0.000
0.626 0.321 11.603
Mg P Br
2 2 2
Direct
0.015 0.401 0.190 Mg
0.985 0.599 0.810 Mg
0.250 0.020 0.942 P
0.750 0.980 0.058 P
0.313 0.761 0.319 Br
0.687 0.239 0.681 Br
```

Peak list (10 most intense, 10° ≤ 2θ ≤ 90°, in order of falling intensity)
- d 3.033, 2θ = 29.45°, intensity 100
- d 5.802, 2θ = 15.27°, intensity 100
- d 2.550, 2θ = 35.20°, intensity 95
- d 3.482, 2θ = 25.58°, intensity 85
- d 3.868, 2θ = 22.99°, intensity 85
- d 3.075, 2θ = 29.03°, intensity 63
- d 3.149, 2θ = 28.34°, intensity 59
- d 2.433, 2θ = 36.95°, intensity 50
- d 2.860, 2θ = 31.27°, intensity 47
- d 1.796, 2θ = 50.83°, intensity 44


Starting from a structure optimized by DFT (PBE), the X-ray diffraction stick pattern of Pm4TmGa2 was simulated for Cu Kα (λ = 1.5418 Å).
Neutral-atom scattering factors, no anomalous dispersion.

Structure:
```
Pm4TmGa2
1.0
2.512 1.450 10.110
-2.512 1.450 10.110
0.000 -2.900 10.110
Pm Tm Ga
4 1 2
Direct
0.105 0.105 0.105 Pm
0.299 0.299 0.299 Pm
0.701 0.701 0.701 Pm
0.895 0.895 0.895 Pm
0.500 0.500 0.500 Tm
0.402 0.402 0.402 Ga
0.598 0.598 0.598 Ga
```

Peak list (10 most intense, 10° ≤ 2θ ≤ 90°, in order of falling intensity)
- d 3.535, 2θ = 25.19°, intensity 100
- d 2.512, 2θ = 35.75°, intensity 90
- d 2.488, 2θ = 36.10°, intensity 84
- d 1.445, 2θ = 64.46°, intensity 31
- d 1.768, 2θ = 51.72°, intensity 30
- d 2.047, 2θ = 44.24°, intensity 22
- d 1.587, 2θ = 58.13°, intensity 20
- d 1.575, 2θ = 58.61°, intensity 18
- d 1.450, 2θ = 64.23°, intensity 16
- d 1.121, 2θ = 86.89°, intensity 14


Starting from a structure optimized by DFT (PBE), the X-ray diffraction stick pattern of Sm2Zn3InPt4 was simulated for Cu Kα (λ = 1.5418 Å).
Neutral-atom scattering factors, no anomalous dispersion.

Structure:
```
Sm2Zn3InPt4
1.0
4.184 0.000 0.000
0.000 4.184 0.000
0.000 0.000 11.240
Sm Zn In Pt
2 3 1 4
Direct
0.000 0.500 0.234 Sm
0.500 0.000 0.766 Sm
0.000 0.500 0.872 Zn
0.500 0.000 0.128 Zn
0.500 0.500 0.500 Zn
0.000 0.000 0.500 In
0.000 0.000 0.000 Pt
0.000 0.500 0.652 Pt
0.500 0.000 0.348 Pt
0.500 0.500 0.000 Pt
```

Peak list (10 most intense, 10° ≤ 2θ ≤ 90°, in order of falling intensity)
- d 2.618, 2θ = 34.25°, intensity 100
- d 2.092, 2θ = 43.25°, intensity 51
- d 2.791, 2θ = 32.07°, intensity 28
- d 2.037, 2θ = 44.47°, intensity 26
- d 1.980, 2θ = 45.82°, intensity 26
- d 1.288, 2θ = 73.54°, intensity 22
- d 1.438, 2θ = 64.83°, intensity 18
- d 1.479, 2θ = 62.82°, intensity 17
- d 3.356, 2θ = 26.56°, intensity 15
- d 1.674, 2θ = 54.84°, intensity 12


Starting from a structure optimized by DFT (PBE), the X-ray diffraction stick pattern of Pr2Zn7Ir was simulated for Cu Kα (λ = 1.5418 Å).
Neutral-atom scattering factors, no anomalous dispersion.

Structure:
```
Pr2Zn7Ir
1.0
4.261 0.000 0.000
0.000 4.261 0.000
0.000 0.000 10.555
Pr Zn Ir
2 7 1
Direct
0.000 0.500 0.241 Pr
0.500 0.000 0.759 Pr
0.000 0.000 0.000 Zn
0.000 0.000 0.500 Zn
0.000 0.500 0.632 Zn
0.000 0.500 0.868 Zn
0.500 0.000 0.132 Zn
0.500 0.000 0.368 Zn
0.500 0.500 0.500 Zn
0.500 0.500 0.000 Ir
```

Peak list (10 most intense, 10° ≤ 2θ ≤ 90°, in order of falling intensity)
- d 2.616, 2θ = 34.27°, intensity 100
- d 2.130, 2θ = 42.43°, intensity 52
- d 2.713, 2θ = 33.02°, intensity 48
- d 1.676, 2θ = 54.79°, intensity 22
- d 1.306, 2θ = 72.39°, intensity 22
- d 1.892, 2θ = 48.10°, intensity 21
- d 1.506, 2θ = 61.56°, intensity 17
- d 1.414, 2θ = 66.05°, intensity 16
- d 1.985, 2θ = 45.70°, intensity 15
- d 1.519, 2θ = 60.99°, intensity 13